1.
The following is a simulated powder diffraction line list of Na2O. It was derived from a structure optimized by DFT (GGA-PBE), using CuKα.
Peak positions follow from Bragg's law for the DFT cell and can differ from measured ones.

Most intense lines, 5° ≤ 2θ ≤ 70°, low angle first:
Position (°2θ)  I (rel.)  index
11.23  58  0 0 3
22.58  40  0 0 6
31.05  61  1 0 4
33.11  72  0 1 5
47.32  94  1 0 10
47.75  100  1 1 0

Structure:
```
data_Na2O
_chemical_formula_sum 'Na12 O6'
_symmetry_space_group_name_H-M 'R -3 m'
_symmetry_Int_Tables_number 166
_symmetry_space_group_name_Hall '-R 3 2"'
_cell_length_a 3.8098
_cell_length_b 3.8098
_cell_length_c 23.6286
_cell_angle_alpha 90.00
_cell_angle_beta 90.00
_cell_angle_gamma 120.00
loop_
_atom_site_label
_atom_site_fract_x
_atom_site_fract_y
_atom_site_fract_z
_atom_site_occupancy
Na1 0.0000 0.0000 0.1073 1
Na2 0.0000 0.0000 0.2984 1
O1 0.0000 0.0000 0.4035 1
```

2.
The following is a simulated powder diffraction line list of BaLa7Mg5Nb3O24. It was derived from a structure optimized by DFT (GGA-PBE), using CuKα.
Peak positions follow from Bragg's law for the DFT cell and can differ from measured ones.

Most intense lines, 5° ≤ 2θ ≤ 70°, low angle first:
Position (°2θ)  I (rel.)  index
22.03  24  2 0 2
31.34  100  5 1 1
31.45  21  0 2 0
44.93  36  6 2 -2
55.72  24  10 0 2
55.90  26  4 2 4

Structure:
```
data_BaLa7Mg5Nb3O24
_chemical_formula_sum 'Ba2 La14 Mg10 Nb6 O48'
_symmetry_space_group_name_H-M 'C 1 m 1'
_symmetry_Int_Tables_number 8
_symmetry_space_group_name_Hall 'C -2y'
_cell_length_a 18.966
_cell_length_b 5.690
_cell_length_c 9.893
_cell_angle_alpha 90.00
_cell_angle_beta 100.15
_cell_angle_gamma 90.00
loop_
_atom_site_label
_atom_site_fract_x
_atom_site_fract_y
_atom_site_fract_z
_atom_site_occupancy
Ba1 0.000 0.000 0.000 1
La1 0.006 0.500 0.493 1
La2 0.133 0.500 0.844 1
La3 0.137 0.000 0.387 1
La4 0.243 0.000 0.742 1
La5 0.245 0.500 0.262 1
La6 0.367 0.500 0.620 1
La7 0.378 0.000 0.111 1
Mg1 0.062 0.000 0.681 1
Mg2 0.063 0.500 0.186 1
Mg3 0.188 0.500 0.555 1
Mg4 0.312 0.500 0.933 1
Mg5 0.315 0.000 0.434 1
Nb1 0.187 0.000 0.057 1
Nb2 0.437 0.500 0.314 1
Nb3 0.438 0.000 0.806 1
O1 0.020 0.500 0.968 1
O2 0.023 0.000 0.468 1
O3 0.103 0.500 0.391 1
O4 0.113 0.000 0.892 1
O5 0.137 0.248 0.655 1
O6 0.140 0.242 0.161 1
O7 0.236 0.249 0.959 1
O8 0.240 0.250 0.453 1
O9 0.271 0.500 0.724 1
O10 0.275 0.000 0.212 1
O11 0.352 0.000 0.650 1
O12 0.354 0.500 0.153 1
O13 0.384 0.238 0.904 1
O14 0.390 0.257 0.416 1
O15 0.483 0.240 0.223 1
O16 0.485 0.247 0.709 1
```

3.
The following is a simulated powder diffraction line list of LiCuPO4. It was derived from a structure optimized by DFT (GGA-PBE), using CuKα.
Peak positions follow from Bragg's law for the DFT cell and can differ from measured ones.

Most intense lines, 5° ≤ 2θ ≤ 70°, low angle first:
Position (°2θ)  I (rel.)  index
16.65  58  2 0 0
23.90  100  2 1 0
29.26  34  0 0 2
33.88  59  2 0 2
34.40  26  0 2 0
60.32  19  6 0 2

Structure:
```
data_LiCuPO4
_chemical_formula_sum 'Li4 Cu4 P4 O16'
_symmetry_space_group_name_H-M 'P n a 21'
_symmetry_Int_Tables_number 33
_symmetry_space_group_name_Hall 'P 2c -2n'
_cell_length_a 10.646
_cell_length_b 5.214
_cell_length_c 6.104
_cell_angle_alpha 90.00
_cell_angle_beta 90.00
_cell_angle_gamma 90.00
loop_
_atom_site_label
_atom_site_fract_x
_atom_site_fract_y
_atom_site_fract_z
_atom_site_occupancy
Li1 0.173 0.200 0.000 1
Cu1 0.085 0.818 0.727 1
P1 0.072 0.695 0.229 1
O1 0.064 0.203 0.745 1
O2 0.070 0.400 0.207 1
O3 0.140 0.818 0.028 1
O4 0.150 0.774 0.435 1
```

4.
The following is a simulated powder diffraction line list of HfSiRh. It was derived from a structure optimized by DFT (GGA-PBE), using CuKα.
Peak positions follow from Bragg's law for the DFT cell and can differ from measured ones.

Most intense lines, 5° ≤ 2θ ≤ 70°, low angle first:
Position (°2θ)  I (rel.)  index
25.62  37  0 1 1
35.95  100  1 1 2
37.85  97  2 1 1
38.78  43  1 0 3
43.06  31  0 1 3
46.19  38  0 2 0

Structure:
```
data_HfSiRh
_chemical_formula_sum 'Hf4 Si4 Rh4'
_symmetry_space_group_name_H-M 'P n m a'
_symmetry_Int_Tables_number 62
_symmetry_space_group_name_Hall '-P 2ac 2n'
_cell_length_a 6.515
_cell_length_b 3.931
_cell_length_c 7.456
_cell_angle_alpha 90.00
_cell_angle_beta 90.00
_cell_angle_gamma 90.00
loop_
_atom_site_label
_atom_site_fract_x
_atom_site_fract_y
_atom_site_fract_z
_atom_site_occupancy
Hf1 0.020 0.250 0.184 1
Si1 0.226 0.750 0.382 1
Rh1 0.151 0.250 0.565 1
```

5.
The following is a simulated powder diffraction line list of Y5Bi3. It was derived from a structure optimized by DFT (GGA-PBE), using CuKα.
Peak positions follow from Bragg's law for the DFT cell and can differ from measured ones.

Most intense lines, 5° ≤ 2θ ≤ 70°, low angle first:
Position (°2θ)  I (rel.)  index
22.65  67  1 2 1
24.52  79  3 0 1
29.39  100  1 2 2
30.93  92  3 2 1
32.12  89  2 2 2
37.63  61  0 4 0

Structure:
```
data_Y5Bi3
_chemical_formula_sum 'Y20 Bi12'
_symmetry_space_group_name_H-M 'P n m a'
_symmetry_Int_Tables_number 62
_symmetry_space_group_name_Hall '-P 2ac 2n'
_cell_length_a 12.093
_cell_length_b 9.559
_cell_length_c 8.331
_cell_angle_alpha 90.00
_cell_angle_beta 90.00
_cell_angle_gamma 90.00
loop_
_atom_site_label
_atom_site_fract_x
_atom_site_fract_y
_atom_site_fract_z
_atom_site_occupancy
Y1 0.006 0.250 0.024 1
Y2 0.066 0.060 0.692 1
Y3 0.211 0.750 0.343 1
Y4 0.230 0.250 0.333 1
Bi1 0.025 0.750 0.596 1
Bi2 0.174 0.509 0.066 1
```

6.
The following is a simulated powder diffraction line list of Tb2MgS4. It was derived from a structure optimized by DFT (GGA-PBE), using CuKα.
Peak positions follow from Bragg's law for the DFT cell and can differ from measured ones.

Most intense lines, 5° ≤ 2θ ≤ 70°, low angle first:
Position (°2θ)  I (rel.)  index
14.88  88  1 0 2
24.28  88  2 0 3
27.04  100  2 1 0
34.16  54  3 1 2
41.43  34  1 1 5
42.02  44  4 1 3

Structure:
```
data_Tb2MgS4
_chemical_formula_sum 'Tb8 Mg4 S16'
_symmetry_space_group_name_H-M 'P n m a'
_symmetry_Int_Tables_number 62
_symmetry_space_group_name_Hall '-P 2ac 2n'
_cell_length_a 12.653
_cell_length_b 3.865
_cell_length_c 13.493
_cell_angle_alpha 90.00
_cell_angle_beta 90.00
_cell_angle_gamma 90.00
loop_
_atom_site_label
_atom_site_fract_x
_atom_site_fract_y
_atom_site_fract_z
_atom_site_occupancy
Tb1 0.118 0.250 0.076 1
Tb2 0.139 0.250 0.706 1
Mg1 0.111 0.750 0.453 1
S1 0.008 0.750 0.615 1
S2 0.027 0.250 0.883 1
S3 0.225 0.250 0.249 1
S4 0.238 0.250 0.516 1
```